The following is a computed powder diffraction line list of RbSn4Au4. It was derived from DFT lattice parameters and positions (GGA-PBE), using Cu Kα (weighted mean of Kα1 and Kα2).

Crystal structure
```
RbSn4Au4
1.0
0.0000 6.4809 19.6706
4.8634 0.0000 19.6706
4.8634 6.4809 0.0000
Rb Sn Au
4 16 16
Direct
0.0000 0.0000 0.0000 Rb
0.0000 0.0000 0.5000 Rb
0.0000 0.5000 0.0000 Rb
0.5000 0.0000 0.0000 Rb
0.0954 0.6633 0.3929 Sn
0.1630 0.3290 0.3646 Sn
0.3290 0.1630 0.6433 Sn
0.3367 0.9046 0.6515 Sn
0.3485 0.3929 0.6633 Sn
0.3567 0.6354 0.6710 Sn
0.3646 0.6433 0.1630 Sn
0.3929 0.3485 0.0954 Sn
0.6071 0.6515 0.9046 Sn
0.6354 0.3567 0.8370 Sn
0.6433 0.3646 0.3290 Sn
0.6515 0.6071 0.3367 Sn
0.6633 0.0954 0.3485 Sn
0.6710 0.8370 0.3567 Sn
0.8370 0.6710 0.6354 Sn
0.9046 0.3367 0.6071 Sn
0.1067 0.2503 0.4231 Au
0.1349 0.7546 0.2609 Au
0.2454 0.8651 0.6504 Au
0.2503 0.1067 0.7199 Au
0.2609 0.3496 0.1349 Au
0.2801 0.5769 0.7497 Au
0.3496 0.2609 0.7546 Au
0.4231 0.7199 0.1067 Au
0.5769 0.2801 0.8933 Au
0.6504 0.7391 0.2454 Au
0.7199 0.4231 0.2503 Au
0.7391 0.6504 0.8651 Au
0.7497 0.8933 0.2801 Au
0.7546 0.1349 0.3496 Au
0.8651 0.2454 0.7391 Au
0.8933 0.7497 0.5769 Au
```

The 8 most intense peaks (2θ = 5–70°), in order of falling intensity:
- 2θ = 27.53°, d = 3.240 Å, I = 100
- 2θ = 29.20°, d = 3.059 Å, I = 98
- 2θ = 23.32°, d = 3.815 Å, I = 94
- 2θ = 18.80°, d = 4.721 Å, I = 73
- 2θ = 41.38°, d = 2.182 Å, I = 67
- 2θ = 36.54°, d = 2.459 Å, I = 57
- 2θ = 26.65°, d = 3.346 Å, I = 53
- 2θ = 14.39°, d = 6.155 Å, I = 45